[1]
CsAlPdF6: simulated powder diffraction line list (Cu Kα (weighted mean of Kα1 and Kα2)), based on a PBE-relaxed structure.
Lines closer than 0.1° are merged.

The 10 most intense peaks (5° ≤ 2θ ≤ 70°), low angle first:
| 2θ (°) | I_rel | hkl |
| --- | --- | --- |
| 24.0 | 41 | 1 1 2 |
| 24.5 | 26 | 0 2 0 |
| 27.8 | 100 | 2 1 1 |
| 28.2 | 28 | 1 0 3 |
| 28.5 | 73 | 0 1 3 |
| 29.9 | 23 | 0 2 2 |
| 37.6 | 24 | 1 2 3 |
| 44.1 | 18 | 3 0 3 |
| 45.1 | 35 | 0 1 5 |
| 49.1 | 44 | 2 2 4 |

Cell: 7.624 7.280 10.448 Å, 90.00 90.00 90.00°
Space group Pnma (No. 62)
Symmetry-distinct sites (fractional):
Cs: 0.004 0.250 0.140 x4
Al: 0.000 0.000 0.500 x4
Pd: 0.244 0.250 0.752 x4
F: 0.005 0.250 0.476 x4
F: 0.007 0.750 0.149 x4
F: 0.163 0.016 0.627 x8
F: 0.176 0.522 0.383 x8

---

[2]
TbScSi2: simulated powder diffraction line list (Cu Kα (weighted mean of Kα1 and Kα2)), based on a PBE-relaxed structure.
Lines closer than 0.1° are merged.

The 10 most intense peaks (5° ≤ 2θ ≤ 70°), low angle first:
| 2θ (°) | I_rel | hkl |
| --- | --- | --- |
| 17.2 | 37 | 0 0 2 |
| 23.0 | 44 | 0 1 1 |
| 23.6 | 19 | 1 0 0 |
| 29.3 | 42 | 1 0 2 |
| 33.2 | 100 | 1 1 1 |
| 33.8 | 45 | 0 1 3 |
| 34.9 | 26 | 0 0 4 |
| 41.6 | 46 | 1 1 3 |
| 42.5 | 18 | 1 0 4 |
| 43.3 | 20 | 0 2 0 |

Cell: 3.774 4.177 10.295 Å, 90.00 90.00 90.00°
Space group Amm2 (No. 38)
Symmetry-distinct sites (fractional):
Tb: 0.000 0.000 0.000 x2
Sc: 0.500 0.000 0.279 x2
Si: 0.000 0.000 0.720 x2
Si: 0.500 0.000 0.564 x2

---

[3]
SiWCl2: simulated powder diffraction line list (Cu Kα (weighted mean of Kα1 and Kα2)), based on a PBE-relaxed structure.
Lines closer than 0.1° are merged.

The 8 most intense peaks (5° ≤ 2θ ≤ 70°), low angle first:
| 2θ (°) | I_rel | hkl |
| --- | --- | --- |
| 24.3 | 72 | 1 1 1 |
| 28.2 | 31 | 2 0 0 |
| 40.3 | 100 | 2 2 0 |
| 47.6 | 38 | 3 1 1 |
| 49.9 | 10 | 2 2 2 |
| 58.2 | 16 | 4 0 0 |
| 64.1 | 16 | 3 3 1 |
| 65.9 | 13 | 4 2 0 |

Cell: 6.337 6.337 6.337 Å, 90.00 90.00 90.00°
Space group Fm-3m (No. 225)
Symmetry-distinct sites (fractional):
Si: 0.000 0.000 0.000 x4
W: 0.000 0.000 0.500 x4
Cl: 0.250 0.250 0.250 x8

---

[4]
YAgS2: simulated powder diffraction line list (Cu Kα (weighted mean of Kα1 and Kα2)), based on a PBE-relaxed structure.
Lines closer than 0.1° are merged.

The 10 most intense peaks (5° ≤ 2θ ≤ 70°), low angle first:
| 2θ (°) | I_rel | hkl |
| --- | --- | --- |
| 18.0 | 14 | 0 1 2 |
| 27.1 | 78 | 2 0 2 |
| 27.8 | 39 | 0 0 4 |
| 30.2 | 13 | 0 1 4 |
| 33.1 | 100 | 2 2 0 |
| 38.8 | 14 | 1 1 -5 |
| 43.7 | 41 | 2 2 4 |
| 47.5 | 33 | 0 4 0 |
| 55.5 | 24 | 2 4 2 |
| 55.9 | 18 | 0 4 4 |

Cell: 7.668 7.661 12.854 Å, 90.00 90.09 90.00°
Space group P2_1 (No. 4)
Symmetry-distinct sites (fractional):
Y: 0.003 0.000 0.247 x2
Y: 0.247 0.754 0.503 x2
Y: 0.254 0.253 0.005 x2
Y: 0.496 0.009 0.747 x2
Ag: 0.004 0.006 0.694 x2
Ag: 0.246 0.755 0.038 x2
Ag: 0.255 0.255 0.535 x2
Ag: 0.497 0.006 0.205 x2
S: 0.020 0.984 0.031 x2
S: 0.025 0.479 0.538 x2
S: 0.226 0.776 0.719 x2
S: 0.227 0.730 0.289 x2
S: 0.273 0.234 0.221 x2
S: 0.274 0.280 0.790 x2
S: 0.474 0.530 0.038 x2
S: 0.479 0.025 0.531 x2

---

[5]
CaEuGdSbO6: simulated powder diffraction line list (Cu Kα (weighted mean of Kα1 and Kα2)), based on a PBE-relaxed structure.
Lines closer than 0.1° are merged.

The 10 most intense peaks (5° ≤ 2θ ≤ 70°), low angle first:
| 2θ (°) | I_rel | hkl |
| --- | --- | --- |
| 18.3 | 14 | 1 1 1 |
| 21.1 | 9 | 2 0 0 |
| 30.0 | 100 | 2 2 0 |
| 35.4 | 9 | 3 1 1 |
| 43.0 | 31 | 4 0 0 |
| 47.1 | 4 | 3 3 1 |
| 48.3 | 3 | 4 2 0 |
| 53.3 | 40 | 4 2 2 |
| 56.8 | 3 | 3 3 3 |
| 62.4 | 19 | 4 4 0 |

Cell: 8.419 8.419 8.419 Å, 90.00 90.00 90.00°
Space group F-43m (No. 216)
Symmetry-distinct sites (fractional):
Ca: 0.000 0.000 0.000 x4
Eu: 0.000 0.000 0.500 x4
Gd: 0.250 0.250 0.750 x4
Sb: 0.250 0.250 0.250 x4
O: 0.014 0.250 0.250 x24

---

[6]
TmAgPb: simulated powder diffraction line list (Cu Kα (weighted mean of Kα1 and Kα2)), based on a PBE-relaxed structure.
Lines closer than 0.1° are merged.

The 10 most intense peaks (5° ≤ 2θ ≤ 70°), low angle first:
| 2θ (°) | I_rel | hkl |
| --- | --- | --- |
| 23.8 | 20 | 1 1 0 |
| 30.9 | 48 | 1 1 1 |
| 33.9 | 100 | 2 0 1 |
| 36.7 | 24 | 2 1 0 |
| 39.6 | 28 | 0 0 2 |
| 41.8 | 46 | 3 0 0 |
| 55.0 | 14 | 2 1 2 |
| 58.9 | 15 | 3 0 2 |
| 66.1 | 28 | 3 2 1 |
| 68.2 | 13 | 2 0 3 |

Cell: 7.4829 7.4829 4.5571 Å, 90.00 90.00 120.00°
Space group P-62m (No. 189)
Symmetry-distinct sites (fractional):
Tm: 0.0000 0.4333 0.0000 x3
Ag: 0.0000 0.7548 0.5000 x3
Pb: 0.0000 0.0000 0.0000 x1
Pb: 0.3333 0.6667 0.5000 x2